Entry 1:
Diffraction record for Al2ZnFeCu4. The XRD peak list is calculated, not measured: it uses a cell relaxed with GGA-PBE and Cu Kα X-rays.
Lines closer than 0.1° are merged.

Lattice parameters (Å, degrees): 7.159 7.159 7.159 131.98 131.98 70.27
Sites, in units of the cell vectors:
Al  0.120  0.370  0.750
Al  0.370  0.120  0.250
Al  0.630  0.880  0.750
Al  0.880  0.630  0.250
Zn  0.375  0.625  0.750
Zn  0.625  0.375  0.250
Fe  0.125  0.875  0.250
Fe  0.875  0.125  0.750
Cu  0.000  0.251  0.251
Cu  0.000  0.749  0.749
Cu  0.251  0.000  0.751
Cu  0.251  0.500  0.251
Cu  0.500  0.251  0.751
Cu  0.500  0.749  0.249
Cu  0.749  0.000  0.249
Cu  0.749  0.500  0.749

Peak list (10 most intense, 2θ from 10° to 90°, by angle)
Position (°2θ)  Rel. int.
26.5  11
30.5  3
30.7  5
43.8  100
44.0  50
52.0  3
63.6  8
63.9  15
80.5  15
80.7  29

=====

Entry 2:
Diffraction record for Rb2Pd3O4. The XRD peak list is calculated, not measured: it uses a cell relaxed with GGA-PBE and Cu Kα X-rays.
Lines closer than 0.1° are merged.

Lattice parameters (Å, degrees): 12.650 11.951 5.726 83.46 69.81 26.72
Sites, in units of the cell vectors:
Rb  0.037  0.037  0.213
Rb  0.213  0.213  0.037
Rb  0.787  0.787  0.963
Rb  0.963  0.963  0.787
Pd  0.126  0.126  0.624
Pd  0.375  0.375  0.375
Pd  0.376  0.376  0.874
Pd  0.624  0.624  0.126
Pd  0.625  0.625  0.625
Pd  0.874  0.874  0.376
O  0.161  0.480  0.260
O  0.260  0.599  0.161
O  0.401  0.740  0.520
O  0.480  0.161  0.599
O  0.520  0.839  0.401
O  0.599  0.260  0.480
O  0.740  0.401  0.839
O  0.839  0.520  0.740

Peak list (10 most intense, 2θ from 10° to 90°, by angle)
Position (°2θ)  Rel. int.
15.2  84
21.5  28
26.5  58
29.2  44
35.9  38
36.9  100
39.8  26
48.8  28
60.5  26
61.1  37

=====

Entry 3:
Diffraction record for Cu8Ag. The XRD peak list is calculated, not measured: it uses a cell relaxed with GGA-PBE and Cu Kα X-rays.
Lines closer than 0.1° are merged.

Lattice parameters (Å, degrees): 6.874 6.874 6.874 38.35 38.35 38.35
Sites, in units of the cell vectors:
Cu  0.047  0.387  0.726
Cu  0.167  0.167  0.167
Cu  0.274  0.953  0.613
Cu  0.387  0.726  0.047
Cu  0.613  0.274  0.953
Cu  0.726  0.047  0.387
Cu  0.833  0.833  0.833
Cu  0.953  0.613  0.274
Ag  0.500  0.500  0.500

Peak list (10 most intense, 2θ from 10° to 90°, by angle)
Position (°2θ)  Rel. int.
24.6  2
29.5  2
42.5  100
42.6  33
49.5  62
72.5  18
72.7  18
87.8  11
87.9  21
88.1  10

=====

Entry 4:
Diffraction record for CsSm2CuTeSe3. The XRD peak list is calculated, not measured: it uses a cell relaxed with GGA-PBE and Cu Kα X-rays.
Lines closer than 0.1° are merged.

Lattice parameters (Å, degrees): 7.824 7.824 14.949 90.00 90.00 148.09
Sites, in units of the cell vectors:
Cs  0.123  0.877  0.750
Cs  0.877  0.123  0.250
Sm  0.367  0.633  0.554
Sm  0.367  0.633  0.946
Sm  0.633  0.367  0.054
Sm  0.633  0.367  0.446
Cu  0.165  0.835  0.250
Cu  0.835  0.165  0.750
Te  0.433  0.567  0.750
Te  0.567  0.433  0.250
Se  0.000  0.000  0.000
Se  0.000  0.000  0.500
Se  0.254  0.746  0.107
Se  0.254  0.746  0.393
Se  0.746  0.254  0.607
Se  0.746  0.254  0.893

Peak list (10 most intense, 2θ from 10° to 90°, by angle)
Position (°2θ)  Rel. int.
13.2  23
21.4  32
26.6  23
28.0  75
29.9  100
37.1  29
40.3  22
40.9  63
42.0  34
48.9  22

=====

Entry 5:
Diffraction record for LaNd3Se3N4. The XRD peak list is calculated, not measured: it uses a cell relaxed with GGA-PBE and Cu Kα X-rays.
Lines closer than 0.1° are merged.

Lattice parameters (Å, degrees): 8.124 7.176 7.176 33.33 90.00 90.00
Sites, in units of the cell vectors:
La  0.000  0.000  0.000
Nd  0.243  0.318  0.318
Nd  0.500  0.986  0.986
Nd  0.757  0.318  0.318
Se  0.000  0.682  0.682
Se  0.328  0.642  0.642
Se  0.672  0.642  0.642
N  0.000  0.413  0.413
N  0.245  0.905  0.905
N  0.500  0.395  0.395
N  0.755  0.905  0.905

Peak list (10 most intense, 2θ from 10° to 90°, by angle)
Position (°2θ)  Rel. int.
25.5  48
29.2  100
31.6  52
34.2  30
39.3  17
44.0  19
45.5  23
51.5  15
54.2  19
56.7  17

=====

Entry 6:
Diffraction record for RbTaTeAuS2. The XRD peak list is calculated, not measured: it uses a cell relaxed with GGA-PBE and Cu Kα X-rays.
Lines closer than 0.1° are merged.

Lattice parameters (Å, degrees): 8.626 8.626 10.314 90.00 90.00 155.70
Sites, in units of the cell vectors:
Rb  0.222  0.778  0.750
Rb  0.778  0.222  0.250
Ta  0.000  0.000  0.000
Ta  0.000  0.000  0.500
Te  0.088  0.912  0.250
Te  0.912  0.088  0.750
Au  0.458  0.542  0.250
Au  0.542  0.458  0.750
S  0.398  0.602  0.039
S  0.398  0.602  0.461
S  0.602  0.398  0.539
S  0.602  0.398  0.961

Peak list (10 most intense, 2θ from 10° to 90°, by angle)
Position (°2θ)  Rel. int.
10.5  100
17.2  8
30.6  49
33.0  10
34.2  34
34.8  20
36.4  21
39.5  13
40.5  15
53.6  9

=====

Entry 7:
Diffraction record for GdYZn6. The XRD peak list is calculated, not measured: it uses a cell relaxed with GGA-PBE and Cu Kα X-rays.
Lines closer than 0.1° are merged.

Lattice parameters (Å, degrees): 4.690 6.608 4.691 90.00 90.00 90.00
Sites, in units of the cell vectors:
Gd  0.000  0.000  0.000
Y  0.500  0.500  0.491
Zn  0.000  0.250  0.501
Zn  0.000  0.500  0.999
Zn  0.000  0.750  0.501
Zn  0.500  0.000  0.492
Zn  0.500  0.251  0.991
Zn  0.500  0.749  0.991

Peak list (10 most intense, 2θ from 10° to 90°, by angle)
Position (°2θ)  Rel. int.
23.3  6
26.9  2
38.4  100
45.4  2
55.4  11
55.6  6
69.5  22
69.6  11
82.2  3
82.4  7

=====

Entry 8:
Diffraction record for GdYW2C3. The XRD peak list is calculated, not measured: it uses a cell relaxed with GGA-PBE and Cu Kα X-rays.
Lines closer than 0.1° are merged.

Lattice parameters (Å, degrees): 6.183 6.183 5.751 112.10 112.10 31.30
Sites, in units of the cell vectors:
Gd  0.000  0.000  0.000
Y  0.219  0.219  0.638
W  0.453  0.453  0.492
W  0.765  0.765  0.142
C  0.359  0.359  0.084
C  0.610  0.610  0.816
C  0.859  0.859  0.550

Peak list (10 most intense, 2θ from 10° to 90°, by angle)
Position (°2θ)  Rel. int.
18.2  25
31.0  24
31.3  30
32.7  39
33.9  26
34.4  100
35.9  74
36.9  25
43.4  25
55.5  25